# 1
Diffraction record for AcHoTm4. The PXRD pattern is simulated, not measured: it uses a DFT-relaxed cell (GGA-PBE, Alexandria) and Cu Kα, 1.54184 Å.
Peak positions follow from Bragg's law for the DFT cell and can differ from measured ones.

Largest 10 diffraction maxima, in order of falling intensity, 2θ from 10° to 80°:
| Position (°2θ) | d [Å] | I (rel.) |
| --- | --- | --- |
| 31.69 | 2.823 | 100 |
| 31.28 | 2.859 | 97 |
| 45.13 | 2.009 | 35 |
| 62.08 | 1.495 | 30 |
| 56.16 | 1.638 | 24 |
| 56.40 | 1.631 | 13 |
| 56.26 | 1.635 | 13 |
| 51.88 | 1.762 | 9 |
| 66.27 | 1.410 | 8 |
| 40.96 | 2.204 | 7 |

Structural model:
```
6
Lattice="3.5250 0.0000 0.0000 0.0000 5.6560 0.0000 0.0000 0.0000 9.7631" Properties=species:S:1:pos:R:3 pbc="T T T"
Ac 0.0000 0.0000 0.0000
Ho 0.0000 2.8280 4.8816
Tm 1.7625 0.0000 3.3154
Tm 1.7625 0.0000 6.4477
Tm 1.7625 2.8280 1.7082
Tm 1.7625 2.8280 8.0549
```

# 2
Diffraction record for Na2AgBS4. The PXRD pattern is simulated, not measured: it uses a DFT-relaxed cell (GGA-PBE, Alexandria) and Cu Kα, 1.54184 Å.
Peak positions follow from Bragg's law for the DFT cell and can differ from measured ones.

Largest 10 diffraction maxima, in order of falling intensity, 2θ from 10° to 80°:
| Position (°2θ) | d [Å] | I (rel.) |
| --- | --- | --- |
| 32.00 | 2.797 | 100 |
| 18.09 | 4.904 | 68 |
| 38.05 | 2.365 | 56 |
| 18.76 | 4.730 | 42 |
| 25.69 | 3.468 | 31 |
| 43.98 | 2.059 | 27 |
| 36.65 | 2.452 | 27 |
| 41.48 | 2.177 | 26 |
| 46.48 | 1.954 | 24 |
| 60.59 | 1.528 | 18 |

Structural model:
```
16
Lattice="6.9358 0.0000 0.0000 0.0000 6.9358 0.0000 0.0000 0.0000 6.4673" Properties=species:S:1:pos:R:3 pbc="T T T"
Na 0.0000 3.4679 0.0000
Na 0.0000 3.4679 3.2337
Na 3.4679 0.0000 0.0000
Na 3.4679 0.0000 3.2337
Ag 0.0000 0.0000 0.0000
Ag 3.4679 3.4679 3.2337
B 0.0000 0.0000 3.2337
B 3.4679 3.4679 0.0000
S 1.0596 1.0596 2.0264
S 1.0596 5.8762 4.4409
S 2.4083 2.4083 5.2600
S 2.4083 4.5275 1.2073
S 4.5275 2.4083 1.2073
S 4.5275 4.5275 5.2600
S 5.8762 1.0596 4.4409
S 5.8762 5.8762 2.0264
```

# 3
Diffraction record for Tm8Th2Tl. The PXRD pattern is simulated, not measured: it uses a DFT-relaxed cell (GGA-PBE, Alexandria) and Cu Kα, 1.54184 Å.
Peak positions follow from Bragg's law for the DFT cell and can differ from measured ones.

Largest 10 diffraction maxima, in order of falling intensity, 2θ from 10° to 80°:
| Position (°2θ) | d [Å] | I (rel.) |
| --- | --- | --- |
| 31.45 | 2.845 | 100 |
| 31.52 | 2.838 | 99 |
| 36.56 | 2.458 | 67 |
| 52.55 | 1.741 | 36 |
| 36.43 | 2.466 | 34 |
| 62.49 | 1.486 | 29 |
| 62.59 | 1.484 | 28 |
| 62.72 | 1.481 | 28 |
| 52.58 | 1.741 | 24 |
| 65.64 | 1.422 | 12 |

Structural model:
```
11
Lattice="8.8755 -2.4663 0.0000 8.8755 2.4663 0.0000 -2.0649 0.0000 7.4881" Properties=species:S:1:pos:R:3 pbc="T T T"
Tm 0.3243 0.0000 1.6915
Tm 1.0412 0.0000 5.0997
Tm 4.4397 0.0000 4.4500
Tm 7.1430 0.0000 0.3869
Tm 8.5432 0.0000 7.1012
Tm 11.2465 0.0000 3.0381
Tm 14.6450 0.0000 2.3884
Tm 15.3620 0.0000 5.7966
Th 3.6730 0.0000 0.9707
Th 12.0132 0.0000 6.5174
Tl 7.8431 0.0000 3.7440
```